VPb4F10: computed PXRD pattern (λ = 1.5418 Å (Cu Kα)), based on a crystal structure in Alexandria, relaxed with GGA+U.
Peak positions follow from Bragg's law for the DFT cell and can differ from measured ones.

The 8 most intense peaks (5 to 70 degrees two-theta), by angle:
two_theta	I/Imax
26.3	100
26.6	28
30.5	38
43.5	40
43.9	29
51.6	16
51.7	28
69.7	14

Cell and atoms:
Cell lengths 16.9184, 16.9184, 16.9184 Å; angles 14.12, 14.12, 14.12 degrees
Fractional positions:
V: 0.0000 0.0000 0.0000
Pb: 0.2017 0.2017 0.2017
Pb: 0.3940 0.3940 0.3940
Pb: 0.6060 0.6060 0.6060
Pb: 0.7983 0.7983 0.7983
F: 0.0420 0.0420 0.0420
F: 0.1499 0.1499 0.1499
F: 0.2550 0.2550 0.2550
F: 0.3443 0.3443 0.3443
F: 0.4472 0.4472 0.4472
F: 0.5528 0.5528 0.5528
F: 0.6557 0.6557 0.6557
F: 0.7450 0.7450 0.7450
F: 0.8501 0.8501 0.8501
F: 0.9580 0.9580 0.9580

---

VZn2PbF8: computed PXRD pattern (λ = 1.5418 Å (Cu Kα)), based on a crystal structure in Alexandria, relaxed with GGA+U.
Peak positions follow from Bragg's law for the DFT cell and can differ from measured ones.

The 8 most intense peaks (5 to 70 degrees two-theta), by angle:
two_theta	I/Imax
17.1	23
17.4	40
24.2	100
30.0	18
30.7	76
34.5	19
46.8	69
59.5	22

Cell and atoms:
Cell lengths 6.2776, 6.2776, 6.2776 Å; angles 108.37, 108.37, 111.70 degrees
Fractional positions:
V: 0.0000 0.0000 0.0000
Zn: 0.2500 0.7500 0.5000
Zn: 0.5000 0.5000 0.0000
Pb: 0.7500 0.2500 0.5000
F: 0.0669 0.3665 0.2996
F: 0.0669 0.7672 0.7004
F: 0.1234 0.2971 0.8263
F: 0.2328 0.9331 0.2996
F: 0.4708 0.2971 0.1737
F: 0.6335 0.9331 0.7004
F: 0.7029 0.5292 0.8263
F: 0.7029 0.8766 0.1737

---

> What is the formula in the first record?

VPb4F10